# 1
LiAlGa3: calculated PXRD pattern (copper Kα), based on DFT lattice parameters and positions (GGA-PBE).
Intensities are scaled so that the largest is 100.

Peak list (12 most intense, 2θ = 5–70°, most intense first)
2θ (°)  d (Å)  I/Imax
37.44  2.402  100
24.09  3.695  86
39.71  2.270  72
36.93  2.434  69
40.22  2.242  53
57.80  1.595  47
46.43  1.956  43
47.68  1.907  40
19.56  4.539  36
27.97  3.190  24
24.33  3.658  21
61.26  1.513  14

Structure:
abc: 4.485 6.323 6.520
angles: 90.00 90.00 90.00
Fractional coordinates of all 10 atoms:
Li 0.250 0.250 0.233
Li 0.750 0.750 0.767
Al 0.250 0.750 0.068
Al 0.750 0.250 0.932
Ga 0.250 0.041 0.768
Ga 0.250 0.459 0.768
Ga 0.250 0.750 0.470
Ga 0.750 0.250 0.530
Ga 0.750 0.541 0.232
Ga 0.750 0.959 0.232


# 2
InFe2: calculated PXRD pattern (copper Kα), based on DFT lattice parameters and positions (GGA-PBE).
Intensities are scaled so that the largest is 100.

Peak list (11 most intense, 2θ = 5–70°, most intense first)
2θ (°)  d (Å)  I/Imax
41.42  2.180  100
40.95  2.204  56
30.29  2.950  25
59.30  1.558  18
58.12  1.587  10
39.38  2.288  8
60.72  1.525  6
68.03  1.378  5
19.40  4.576  3
45.69  1.986  2
63.01  1.475  1

Structure:
abc: 5.079 5.079 5.079
angles: 144.26 144.26 51.44
Fractional coordinates of all 3 atoms:
In 0.000 0.000 0.000
Fe 0.311 0.311 0.000
Fe 0.689 0.689 0.000


# 3
Ti6Hg2HN: calculated PXRD pattern (copper Kα), based on DFT lattice parameters and positions (GGA-PBE).
Intensities are scaled so that the largest is 100.

Peak list (12 most intense, 2θ = 5–70°, most intense first)
2θ (°)  d (Å)  I/Imax
37.35  2.408  100
30.31  2.949  60
21.31  4.170  54
43.35  2.087  35
53.85  1.702  25
63.09  1.474  22
48.79  1.866  19
43.50  2.080  17
62.97  1.476  11
48.92  1.862  9
67.40  1.390  8
67.30  1.391  6

Structure:
abc: 5.894 5.894 5.894
angles: 119.89 119.89 90.20
Fractional coordinates of all 10 atoms:
Ti 0.247 0.247 0.000
Ti 0.248 0.248 0.495
Ti 0.248 0.752 0.000
Ti 0.752 0.248 0.000
Ti 0.752 0.752 0.505
Ti 0.753 0.753 0.000
Hg 0.250 0.750 0.500
Hg 0.750 0.250 0.500
H 0.000 0.000 0.000
N 0.500 0.500 0.000


# 4
Cs2K7Au: calculated PXRD pattern (copper Kα), based on DFT lattice parameters and positions (GGA-PBE).
Intensities are scaled so that the largest is 100.

Peak list (12 most intense, 2θ = 5–70°, most intense first)
2θ (°)  d (Å)  I/Imax
23.03  3.862  100
17.20  5.155  99
15.06  5.882  70
8.73  10.134  57
35.42  2.535  41
33.65  2.663  41
27.51  3.242  38
35.24  2.547  37
15.22  5.822  37
26.43  3.373  31
23.16  3.841  29
27.61  3.231  26

Structure:
abc: 13.194 13.194 11.959
angles: 116.92 116.92 52.37
Fractional coordinates of all 20 atoms:
Cs 0.186 0.204 0.195
Cs 0.204 0.186 0.695
Cs 0.796 0.814 0.305
Cs 0.814 0.796 0.805
K 0.000 0.000 0.250
K 0.000 0.000 0.750
K 0.192 0.543 0.165
K 0.192 0.543 0.569
K 0.308 0.615 0.962
K 0.385 0.692 0.538
K 0.457 0.808 0.335
K 0.457 0.808 0.931
K 0.543 0.192 0.069
K 0.543 0.192 0.665
K 0.615 0.308 0.462
K 0.692 0.385 0.038
K 0.808 0.457 0.431
K 0.808 0.457 0.835
Au 0.500 0.500 0.250
Au 0.500 0.500 0.750


# 5
Nd6HoTe8: calculated PXRD pattern (copper Kα), based on DFT lattice parameters and positions (GGA-PBE).
Intensities are scaled so that the largest is 100.

Peak list (12 most intense, 2θ = 5–70°, most intense first)
2θ (°)  d (Å)  I/Imax
28.19  3.166  100
40.29  2.239  76
65.98  1.416  35
49.89  1.828  27
58.29  1.583  13
12.11  7.311  7
23.30  3.818  4
13.99  6.332  2
42.22  2.141  2
36.88  2.437  2
19.83  4.477  2
30.78  2.905  2

Structure:
abc: 8.955 8.955 8.955
angles: 60.00 60.00 60.00
Fractional coordinates of all 15 atoms:
Nd 0.000 0.000 0.500
Nd 0.000 0.500 0.000
Nd 0.000 0.500 0.500
Nd 0.500 0.000 0.000
Nd 0.500 0.000 0.500
Nd 0.500 0.500 0.000
Ho 0.000 0.000 0.000
Te 0.248 0.248 0.752
Te 0.248 0.752 0.248
Te 0.248 0.752 0.752
Te 0.250 0.250 0.250
Te 0.750 0.750 0.750
Te 0.752 0.248 0.248
Te 0.752 0.248 0.752
Te 0.752 0.752 0.248


# 6
CsIn2PdCl8: calculated PXRD pattern (copper Kα), based on DFT lattice parameters and positions (GGA-PBE).
Intensities are scaled so that the largest is 100.

Peak list (12 most intense, 2θ = 5–70°, most intense first)
2θ (°)  d (Å)  I/Imax
19.24  4.612  100
26.86  3.319  50
44.53  2.035  33
27.82  3.207  30
33.26  2.694  26
43.25  2.092  24
47.44  1.916  24
48.04  1.894  15
39.06  2.306  15
25.94  3.434  11
49.79  1.831  10
67.09  1.395  10

Structure:
abc: 10.993 10.993 10.993
angles: 35.15 35.15 35.15
Fractional coordinates of all 12 atoms:
Cs 0.000 0.000 0.000
In 0.245 0.245 0.245
In 0.755 0.755 0.755
Pd 0.500 0.500 0.500
Cl 0.132 0.437 0.760
Cl 0.240 0.563 0.868
Cl 0.323 0.323 0.323
Cl 0.437 0.760 0.132
Cl 0.563 0.868 0.240
Cl 0.677 0.677 0.677
Cl 0.760 0.132 0.437
Cl 0.868 0.240 0.563


# 7
Nd2Sm4Bi3N2: calculated PXRD pattern (copper Kα), based on DFT lattice parameters and positions (GGA-PBE).
Intensities are scaled so that the largest is 100.

Peak list (12 most intense, 2θ = 5–70°, most intense first)
2θ (°)  d (Å)  I/Imax
33.29  2.692  100
37.45  2.402  49
27.10  3.290  30
64.93  1.436  30
53.99  1.698  17
18.78  4.726  14
29.56  3.022  14
51.36  1.779  13
26.94  3.310  13
46.73  1.944  12
56.64  1.625  12
61.40  1.510  12

Structure:
abc: 13.669 13.669 13.669
angles: 159.76 159.76 28.78
Fractional coordinates of all 11 atoms:
Nd 0.191 0.191 0.000
Nd 0.809 0.809 0.000
Sm 0.084 0.584 0.500
Sm 0.416 0.916 0.500
Sm 0.584 0.084 0.500
Sm 0.916 0.416 0.500
Bi 0.321 0.321 0.000
Bi 0.500 0.500 0.000
Bi 0.679 0.679 0.000
N 0.103 0.103 0.000
N 0.897 0.897 0.000


# 8
SmGa12Ir6: calculated PXRD pattern (copper Kα), based on DFT lattice parameters and positions (GGA-PBE).
Intensities are scaled so that the largest is 100.

Peak list (12 most intense, 2θ = 5–70°, most intense first)
2θ (°)  d (Å)  I/Imax
40.95  2.204  100
25.88  3.443  98
41.62  2.170  86
45.91  1.977  86
31.18  2.869  53
50.57  1.805  52
27.40  3.255  50
31.60  2.831  45
67.26  1.392  42
44.98  2.015  40
34.15  2.625  37
15.44  5.737  33

Structure:
abc: 7.221 7.221 7.221
angles: 105.22 105.22 105.22
Fractional coordinates of all 19 atoms:
Sm 0.000 0.000 0.000
Ga 0.115 0.500 0.885
Ga 0.115 0.885 0.500
Ga 0.128 0.404 0.404
Ga 0.404 0.128 0.404
Ga 0.404 0.404 0.128
Ga 0.500 0.115 0.885
Ga 0.500 0.885 0.115
Ga 0.596 0.596 0.872
Ga 0.596 0.872 0.596
Ga 0.872 0.596 0.596
Ga 0.885 0.115 0.500
Ga 0.885 0.500 0.115
Ir 0.275 0.275 0.693
Ir 0.275 0.693 0.275
Ir 0.307 0.725 0.725
Ir 0.693 0.275 0.275
Ir 0.725 0.307 0.725
Ir 0.725 0.725 0.307


# 9
CaEuMgNbO6: calculated PXRD pattern (copper Kα), based on DFT lattice parameters and positions (GGA-PBE).
Intensities are scaled so that the largest is 100.

Peak list (12 most intense, 2θ = 5–70°, most intense first)
2θ (°)  d (Å)  I/Imax
31.71  2.822  100
19.26  4.608  47
56.48  1.629  39
45.46  1.995  38
37.37  2.406  27
66.24  1.411  22
39.10  2.304  14
49.80  1.831  12
60.25  1.536  9
69.70  1.349  9
22.28  3.991  2
51.19  1.785  1

Structure:
abc: 5.644 5.644 5.644
angles: 60.00 60.00 60.00
Fractional coordinates of all 10 atoms:
Ca 0.000 0.000 0.000
Eu 0.500 0.500 0.500
Mg 0.750 0.750 0.750
Nb 0.250 0.250 0.250
O 0.001 0.001 0.499
O 0.001 0.499 0.001
O 0.001 0.499 0.499
O 0.499 0.001 0.001
O 0.499 0.001 0.499
O 0.499 0.499 0.001


# 10
Tb5Nd2Cd: calculated PXRD pattern (copper Kα), based on DFT lattice parameters and positions (GGA-PBE).
Intensities are scaled so that the largest is 100.

Peak list (9 most intense, 2θ = 5–70°, most intense first)
2θ (°)  d (Å)  I/Imax
31.02  2.883  100
36.17  2.483  33
61.87  1.500  28
51.63  1.770  24
35.56  2.525  17
61.05  1.518  14
64.66  1.442  12
52.08  1.756  12
15.37  5.766  1

Structure:
abc: 7.082 7.082 7.082
angles: 120.55 120.55 89.06
Fractional coordinates of all 8 atoms:
Tb 0.000 0.000 0.000
Tb 0.000 0.000 0.500
Tb 0.000 0.500 0.000
Tb 0.500 0.000 0.000
Tb 0.500 0.500 0.500
Nd 0.000 0.500 0.500
Nd 0.500 0.000 0.500
Cd 0.500 0.500 0.000


# 11
Ni2Os: calculated PXRD pattern (copper Kα), based on DFT lattice parameters and positions (GGA-PBE).
Intensities are scaled so that the largest is 100.

Peak list (12 most intense, 2θ = 5–70°, most intense first)
2θ (°)  d (Å)  I/Imax
45.47  1.995  100
43.62  2.075  34
15.10  5.866  24
19.57  4.537  23
39.62  2.275  23
46.44  1.955  22
46.54  1.951  21
27.82  3.207  15
37.48  2.400  13
60.38  1.533  13
40.75  2.214  9
31.72  2.821  8

Structure:
abc: 4.882 4.882 6.077
angles: 104.53 104.53 31.51
Fractional coordinates of all 6 atoms:
Ni 0.025 0.025 0.304
Ni 0.360 0.360 0.969
Ni 0.640 0.640 0.031
Ni 0.975 0.975 0.696
Os 0.304 0.304 0.357
Os 0.696 0.696 0.643


# 12
TbPm3Ho6: calculated PXRD pattern (copper Kα), based on DFT lattice parameters and positions (GGA-PBE).
Intensities are scaled so that the largest is 100.

Peak list (6 most intense, 2θ = 5–70°, most intense first)
2θ (°)  d (Å)  I/Imax
30.73  2.909  100
35.63  2.520  51
60.98  1.519  39
51.28  1.782  36
64.01  1.455  12
61.06  1.518  4

Structure:
abc: 6.170 6.174 9.422
angles: 70.88 70.99 80.41
Fractional coordinates of all 10 atoms:
Tb 0.000 0.000 0.000
Pm 0.500 0.101 0.298
Pm 0.500 0.500 0.500
Pm 0.500 0.899 0.702
Ho 0.001 0.402 0.199
Ho 0.001 0.801 0.399
Ho 0.500 0.300 0.901
Ho 0.500 0.700 0.099
Ho 0.999 0.199 0.601
Ho 0.999 0.598 0.801


Q: Number 8 is which compound?
A: SmGa12Ir6


Copy entry 6 word for word.
CsIn2PdCl8: calculated PXRD pattern (copper Kα), based on DFT lattice parameters and positions (GGA-PBE).
Intensities are scaled so that the largest is 100.

Peak list (12 most intense, 2θ = 5–70°, most intense first)
2θ (°)  d (Å)  I/Imax
19.24  4.612  100
26.86  3.319  50
44.53  2.035  33
27.82  3.207  30
33.26  2.694  26
43.25  2.092  24
47.44  1.916  24
48.04  1.894  15
39.06  2.306  15
25.94  3.434  11
49.79  1.831  10
67.09  1.395  10

Structure:
abc: 10.993 10.993 10.993
angles: 35.15 35.15 35.15
Fractional coordinates of all 12 atoms:
Cs 0.000 0.000 0.000
In 0.245 0.245 0.245
In 0.755 0.755 0.755
Pd 0.500 0.500 0.500
Cl 0.132 0.437 0.760
Cl 0.240 0.563 0.868
Cl 0.323 0.323 0.323
Cl 0.437 0.760 0.132
Cl 0.563 0.868 0.240
Cl 0.677 0.677 0.677
Cl 0.760 0.132 0.437
Cl 0.868 0.240 0.563


Please write out number 6 again, unchanged.
CsIn2PdCl8: calculated PXRD pattern (copper Kα), based on DFT lattice parameters and positions (GGA-PBE).
Intensities are scaled so that the largest is 100.

Peak list (12 most intense, 2θ = 5–70°, most intense first)
2θ (°)  d (Å)  I/Imax
19.24  4.612  100
26.86  3.319  50
44.53  2.035  33
27.82  3.207  30
33.26  2.694  26
43.25  2.092  24
47.44  1.916  24
48.04  1.894  15
39.06  2.306  15
25.94  3.434  11
49.79  1.831  10
67.09  1.395  10

Structure:
abc: 10.993 10.993 10.993
angles: 35.15 35.15 35.15
Fractional coordinates of all 12 atoms:
Cs 0.000 0.000 0.000
In 0.245 0.245 0.245
In 0.755 0.755 0.755
Pd 0.500 0.500 0.500
Cl 0.132 0.437 0.760
Cl 0.240 0.563 0.868
Cl 0.323 0.323 0.323
Cl 0.437 0.760 0.132
Cl 0.563 0.868 0.240
Cl 0.677 0.677 0.677
Cl 0.760 0.132 0.437
Cl 0.868 0.240 0.563